Starting from the PBE geometry in the Materials Project, the powder XRD pattern of Na3InP2 was simulated for Cu Kα (λ = 1.5418 Å).

Structural model:
```
data_Na3InP2
_cell_length_a 9.4848
_cell_length_b 7.4003
_cell_length_c 15.4497
_cell_angle_alpha 90.00
_cell_angle_beta 92.63
_cell_angle_gamma 90.00
_space_group_name_H-M_alt 'P 1 21/c 1'
_space_group_IT_number 14
loop_
_space_group_symop_operation_xyz
'x,y,z'
'-x,-y,-z'
'-x,y+1/2,-z+1/2'
'x,-y+1/2,z+1/2'
loop_
_atom_site_label
_atom_site_fract_x
_atom_site_fract_y
_atom_site_fract_z
Na1 0.0601 0.0109 0.3957
Na2 0.1171 0.1529 0.0463
Na3 0.1802 0.5043 0.3633
Na4 0.3117 0.0345 0.6505
Na5 0.3759 0.1520 0.2965
Na6 0.4346 0.5233 0.6054
In1 0.1365 0.6556 0.7104
In2 0.3737 0.6414 0.9590
P1 0.0930 0.2051 0.2261
P2 0.1524 0.7372 0.5419
P3 0.3735 0.2181 0.4769
P4 0.3749 0.7407 0.7942
```

Most intense lines, 10° ≤ 2θ ≤ 90°, sorted by position:
(hkl)	Position (°2θ)	I_rel
1 0 -2	14.47	37
1 0 2	15.17	100
1 1 -1	16.09	56
1 2 3	31.53	100
1 1 -5	32.45	62
0 2 4	33.56	28
4 0 0	37.98	42
1 3 -1	38.08	58
2 0 -6	39.07	34
2 0 6	40.67	50